Simulated powder XRD pattern
Compound: MgAl2Si6O16
Radiation: Cu Kα X-rays
Structure: a structure optimized by DFT (GGA-PBE)
Peak positions follow from Bragg's law for the DFT cell and can differ from measured ones.

Structure:
Lattice parameters (Å, degrees): 5.092 8.705 8.763 84.80 88.45 89.19
Fractional coordinates of all 25 atoms:
Mg 0.000 0.000 0.000
Al 0.184 0.617 0.155
Al 0.474 0.124 0.017
Si 0.011 0.615 0.513
Si 0.334 0.106 0.664
Si 0.504 0.750 0.658
Si 0.681 0.751 0.001
Si 0.843 0.266 0.515
Si 0.976 0.269 0.161
O 0.004 0.758 0.028
O 0.051 0.135 0.585
O 0.106 0.431 0.113
O 0.108 0.653 0.341
O 0.200 0.126 0.146
O 0.241 0.653 0.633
O 0.279 0.117 0.850
O 0.435 0.934 0.635
O 0.522 0.644 0.127
O 0.554 0.230 0.596
O 0.611 0.707 0.831
O 0.622 0.938 0.013
O 0.745 0.717 0.541
O 0.763 0.220 0.036
O 0.831 0.252 0.331
O 0.936 0.433 0.556

Top 10 peaks for 2θ = 10–90°, low angle first:
d 6.447, rel. 21
d 5.889, rel. 30
d 4.446, rel. 15
d 4.412, rel. 13
d 4.360, rel. 100
d 4.334, rel. 58
d 3.869, rel. 22
d 3.276, rel. 29
d 3.124, rel. 14
d 1.986, rel. 11

---

Simulated powder XRD pattern
Compound: MgAl2Si6O16
Radiation: Cu Kα X-rays
Structure: a structure optimized by DFT (GGA-PBE)
Peak positions follow from Bragg's law for the DFT cell and can differ from measured ones.

Structure:
Lattice parameters (Å, degrees): 5.023 8.281 8.736 88.81 89.95 84.29
Fractional coordinates of all 25 atoms:
Mg 0.000 0.000 0.000
Al 0.563 0.751 0.120
Al 0.810 0.973 0.614
Si 0.073 0.872 0.297
Si 0.095 0.254 0.206
Si 0.318 0.837 0.785
Si 0.427 0.468 0.697
Si 0.599 0.378 0.025
Si 0.915 0.349 0.530
O 0.006 0.927 0.786
O 0.157 0.059 0.243
O 0.193 0.382 0.614
O 0.311 0.644 0.760
O 0.337 0.751 0.270
O 0.363 0.319 0.135
O 0.391 0.871 0.967
O 0.494 0.924 0.663
O 0.524 0.352 0.847
O 0.672 0.556 0.060
O 0.678 0.487 0.581
O 0.821 0.175 0.571
O 0.849 0.856 0.157
O 0.873 0.245 0.061
O 0.948 0.860 0.463
O 0.969 0.364 0.343

Top 10 peaks for 2θ = 10–90°, low angle first:
d 4.475, rel. 71
d 4.367, rel. 45
d 4.338, rel. 68
d 4.119, rel. 100
d 3.966, rel. 34
d 3.756, rel. 21
d 3.695, rel. 39
d 3.288, rel. 73
d 3.142, rel. 20
d 2.402, rel. 20

---

Simulated powder XRD pattern
Compound: MgAlSnO4
Radiation: Cu Kα X-rays
Structure: a structure optimized by DFT (GGA-PBE)
Peak positions follow from Bragg's law for the DFT cell and can differ from measured ones.

Structure:
Lattice parameters (Å, degrees): 6.154 6.154 6.154 120.18 119.23 90.52
Fractional coordinates of all 14 atoms:
Mg 0.000 0.000 0.000
Mg 0.500 0.000 0.500
Al 0.373 0.623 0.750
Al 0.627 0.377 0.250
Sn 0.000 0.000 0.500
Sn 0.000 0.500 0.000
O 0.256 0.256 0.500
O 0.256 0.756 0.000
O 0.264 0.247 0.017
O 0.269 0.753 0.517
O 0.731 0.247 0.483
O 0.736 0.753 0.983
O 0.744 0.244 0.000
O 0.744 0.744 0.500

Top 10 peaks for 2θ = 10–90°, low angle first:
d 5.056, rel. 76
d 4.332, rel. 26
d 3.113, rel. 20
d 2.622, rel. 100
d 2.185, rel. 33
d 2.166, rel. 16
d 1.992, rel. 18
d 1.951, rel. 13
d 1.686, rel. 26
d 1.538, rel. 33

---

Please write out number 2 again, unchanged.
Simulated powder XRD pattern
Compound: MgAl2Si6O16
Radiation: Cu Kα X-rays
Structure: a structure optimized by DFT (GGA-PBE)
Peak positions follow from Bragg's law for the DFT cell and can differ from measured ones.

Structure:
Lattice parameters (Å, degrees): 5.023 8.281 8.736 88.81 89.95 84.29
Fractional coordinates of all 25 atoms:
Mg 0.000 0.000 0.000
Al 0.563 0.751 0.120
Al 0.810 0.973 0.614
Si 0.073 0.872 0.297
Si 0.095 0.254 0.206
Si 0.318 0.837 0.785
Si 0.427 0.468 0.697
Si 0.599 0.378 0.025
Si 0.915 0.349 0.530
O 0.006 0.927 0.786
O 0.157 0.059 0.243
O 0.193 0.382 0.614
O 0.311 0.644 0.760
O 0.337 0.751 0.270
O 0.363 0.319 0.135
O 0.391 0.871 0.967
O 0.494 0.924 0.663
O 0.524 0.352 0.847
O 0.672 0.556 0.060
O 0.678 0.487 0.581
O 0.821 0.175 0.571
O 0.849 0.856 0.157
O 0.873 0.245 0.061
O 0.948 0.860 0.463
O 0.969 0.364 0.343

Top 10 peaks for 2θ = 10–90°, low angle first:
d 4.475, rel. 71
d 4.367, rel. 45
d 4.338, rel. 68
d 4.119, rel. 100
d 3.966, rel. 34
d 3.756, rel. 21
d 3.695, rel. 39
d 3.288, rel. 73
d 3.142, rel. 20
d 2.402, rel. 20

---

Copy entry 1 word for word.
Simulated powder XRD pattern
Compound: MgAl2Si6O16
Radiation: Cu Kα X-rays
Structure: a structure optimized by DFT (GGA-PBE)
Peak positions follow from Bragg's law for the DFT cell and can differ from measured ones.

Structure:
Lattice parameters (Å, degrees): 5.092 8.705 8.763 84.80 88.45 89.19
Fractional coordinates of all 25 atoms:
Mg 0.000 0.000 0.000
Al 0.184 0.617 0.155
Al 0.474 0.124 0.017
Si 0.011 0.615 0.513
Si 0.334 0.106 0.664
Si 0.504 0.750 0.658
Si 0.681 0.751 0.001
Si 0.843 0.266 0.515
Si 0.976 0.269 0.161
O 0.004 0.758 0.028
O 0.051 0.135 0.585
O 0.106 0.431 0.113
O 0.108 0.653 0.341
O 0.200 0.126 0.146
O 0.241 0.653 0.633
O 0.279 0.117 0.850
O 0.435 0.934 0.635
O 0.522 0.644 0.127
O 0.554 0.230 0.596
O 0.611 0.707 0.831
O 0.622 0.938 0.013
O 0.745 0.717 0.541
O 0.763 0.220 0.036
O 0.831 0.252 0.331
O 0.936 0.433 0.556

Top 10 peaks for 2θ = 10–90°, low angle first:
d 6.447, rel. 21
d 5.889, rel. 30
d 4.446, rel. 15
d 4.412, rel. 13
d 4.360, rel. 100
d 4.334, rel. 58
d 3.869, rel. 22
d 3.276, rel. 29
d 3.124, rel. 14
d 1.986, rel. 11